No. 1
Zr2N2O: theoretical powder X-ray diffraction pattern (λ = 1.5418 Å (Cu Kα)), based on the GGA-PBE geometry in the Materials Project.
Peak positions follow from Bragg's law for the DFT cell and can differ from measured ones.

Structure:
```
data_Zr2N2O
_chemical_formula_sum 'Zr16 N16 O8'
_space_group_name_H-M_alt 'P 1'
_space_group_IT_number 1
_space_group_name_Hall 'P 1'
_cell_length_a 8.868
_cell_length_b 8.868
_cell_length_c 8.874
_cell_angle_alpha 109.44
_cell_angle_beta 109.28
_cell_angle_gamma 109.54
loop_
_atom_site_label
_atom_site_type_symbol
_atom_site_fract_x
_atom_site_fract_y
_atom_site_fract_z
Zr1 Zr 0.000 0.000 0.000
Zr2 Zr 0.003 0.497 0.501
Zr3 Zr 0.046 0.715 0.249
Zr4 Zr 0.222 0.188 0.467
Zr5 Zr 0.250 0.467 0.216
Zr6 Zr 0.261 0.965 0.720
Zr7 Zr 0.282 0.757 0.962
Zr8 Zr 0.461 0.219 0.178
Zr9 Zr 0.495 0.937 0.424
Zr10 Zr 0.499 0.426 0.930
Zr11 Zr 0.539 0.717 0.753
Zr12 Zr 0.715 0.675 0.463
Zr13 Zr 0.747 0.465 0.703
Zr14 Zr 0.750 0.981 0.215
Zr15 Zr 0.781 0.249 0.965
Zr16 Zr 0.961 0.225 0.679
N1 N 0.009 0.458 0.246
N2 N 0.023 0.500 0.763
N3 N 0.202 0.954 0.938
N4 N 0.239 0.693 0.169
N5 N 0.255 0.238 0.257
N6 N 0.288 0.730 0.701
N7 N 0.290 0.978 0.483
N8 N 0.476 0.434 0.675
N9 N 0.487 0.483 0.179
N10 N 0.521 0.197 0.947
N11 N 0.526 0.014 0.227
N12 N 0.708 0.193 0.683
N13 N 0.718 0.423 0.442
N14 N 0.744 0.005 0.981
N15 N 0.793 0.739 0.744
N16 N 0.988 0.235 0.443
O1 O 0.029 0.230 0.942
O2 O 0.213 0.206 0.733
O3 O 0.479 0.705 0.486
O4 O 0.519 0.699 0.990
O5 O 0.759 0.928 0.449
O6 O 0.784 0.520 0.991
O7 O 0.970 0.912 0.196
O8 O 0.976 0.744 0.478
```

Principal peaks in the range 10° ≤ 2θ ≤ 90°, in order of rising 2θ:
h k l  2theta  I_rel
2 -1 0  21.2  13
1 1 1  30.2  100
-2 2 2  35.0  18
2 2 -2  35.1  10
1 -4 3  45.1  6
4 0 0  50.3  13
4 0 -4  50.4  25
-1 3 3  59.7  6
-3 1 5  59.9  11
5 1 -3  60.0  9

---

No. 2
Re3Br8Cl: theoretical powder X-ray diffraction pattern (λ = 1.5418 Å (Cu Kα)), based on the GGA-PBE geometry in the Materials Project.
Peak positions follow from Bragg's law for the DFT cell and can differ from measured ones.

Structure:
```
data_Re3Br8Cl
_chemical_formula_sum 'Re12 Br32 Cl4'
_space_group_name_H-M_alt 'C 1 m 1'
_space_group_IT_number 8
_space_group_name_Hall 'C -2y'
_cell_length_a 16.294
_cell_length_b 10.920
_cell_length_c 9.774
_cell_angle_alpha 90.00
_cell_angle_beta 117.23
_cell_angle_gamma 90.00
loop_
_atom_site_label
_atom_site_type_symbol
_atom_site_fract_x
_atom_site_fract_y
_atom_site_fract_z
Re1 Re 0.000 0.000 0.000
Re2 Re 0.090 0.387 0.523
Re3 Re 0.113 0.113 0.226
Re4 Re 0.204 0.500 0.750
Br1 Br 0.017 0.160 0.367
Br2 Br 0.075 0.000 0.834
Br3 Br 0.128 0.500 0.915
Br4 Br 0.185 0.340 0.380
Br5 Br 0.208 0.264 0.754
Br6 Br 0.230 0.000 0.466
Br7 Br 0.232 0.158 0.150
Br8 Br 0.345 0.500 0.702
Br9 Br 0.358 0.500 0.049
Br10 Br 0.471 0.158 0.600
Br11 Br 0.472 0.000 0.282
Cl1 Cl 0.000 0.222 0.002
```

Principal peaks in the range 10° ≤ 2θ ≤ 90°, in order of rising 2θ:
h k l  2theta  I_rel
0 0 1  10.2  9
2 0 -1  11.8  9
1 1 -1  12.2  100
1 3 1  28.3  10
5 1 -2  29.3  10
3 1 2  34.5  24
6 0 -3  35.9  15
2 0 3  38.3  13
5 1 2  45.6  9
8 0 0  50.5  9

---

No. 3
ReCl3O2: theoretical powder X-ray diffraction pattern (λ = 1.5418 Å (Cu Kα)), based on the GGA-PBE geometry in the Materials Project.
Peak positions follow from Bragg's law for the DFT cell and can differ from measured ones.

Structure:
```
data_ReCl3O2
_chemical_formula_sum 'Re4 Cl12 O8'
_space_group_name_H-M_alt 'P n n m'
_space_group_IT_number 58
_space_group_name_Hall '-P 2 2n'
_cell_length_a 8.521
_cell_length_b 8.536
_cell_length_c 8.467
_cell_angle_alpha 90.00
_cell_angle_beta 90.00
_cell_angle_gamma 90.00
loop_
_atom_site_label
_atom_site_type_symbol
_atom_site_fract_x
_atom_site_fract_y
_atom_site_fract_z
Re1 Re 0.233 0.069 0.000
Cl1 Cl 0.000 0.000 0.190
Cl2 Cl 0.119 0.313 0.000
Cl3 Cl 0.236 0.302 0.500
O1 O 0.150 0.602 0.339
```

Principal peaks in the range 10° ≤ 2θ ≤ 90°, in order of rising 2θ:
h k l  2theta  I_rel
0 1 1  14.7  100
1 1 1  18.1  17
2 0 0  20.8  26
0 0 2  21.0  26
1 2 0  23.3  15
2 1 1  25.6  37
2 0 2  29.7  26
1 3 1  34.9  24
2 1 3  39.7  17
1 4 2  49.0  14

---

Question: Number 1 is which compound?
Answer: Zr2N2O